Calculated powder diffraction line list
Compound: MgAg2O4
Radiation: Cu Kα, 1.54184 Å
Structure: a DFT-relaxed cell (PBE, the Materials Project)
Kinematic intensities with the Lorentz-polarization factor, no thermal factor.

Structure:
Cell: 3.2919 7.6956 8.0785 Å, 78.15 83.22 77.93°
Atoms (fractional coordinates):
Mg  0.0104  0.1900  0.1929
Mg  0.9896  0.8100  0.8071
Ag  0.2440  0.1853  0.5320
Ag  0.2919  0.5431  0.1756
Ag  0.7081  0.4569  0.8244
Ag  0.7560  0.8147  0.4680
O  0.0423  0.6153  0.6507
O  0.1536  0.7695  0.2675
O  0.4585  0.9314  0.6743
O  0.4873  0.3159  0.0555
O  0.5127  0.6841  0.9445
O  0.5415  0.0686  0.3257
O  0.8464  0.2305  0.7325
O  0.9577  0.3847  0.3493

Top 8 peaks for 2θ = 10–90°, low angle first:
Position (°2θ)	intensity	(hkl)
11.2	49	0 0 1
12.0	46	0 1 0
14.8	54	0 1 1
17.9	80	0 1 -1
28.6	100	1 1 1
29.9	70	0 2 2
33.3	53	1 2 0
34.4	45	-1 1 1